The following is a calculated XRD peak list of LaZnCd3. It was derived from a crystal structure in Alexandria, relaxed with GGA-PBE, using copper Kα.

Largest 6 diffraction maxima, by angle, 10° ≤ 2θ ≤ 80°:
30.20°, I 218; 31.88°, I 1000; 38.86°, I 265; 41.18°, I 197; 41.69°, I 220; 41.96°, I 183

Structure:
```
data_LaZnCd3
_cell_length_a 12.9988
_cell_length_b 4.3327
_cell_length_c 4.6354
_cell_angle_alpha 90.00
_cell_angle_beta 110.75
_cell_angle_gamma 90.00
_symmetry_space_group_name_H-M 'C 1 m 1'
_symmetry_Int_Tables_number 8
_symmetry_space_group_name_Hall 'C -2y'
loop_
_atom_site_label
_atom_site_fract_x
_atom_site_fract_y
_atom_site_fract_z
La1 0.0000 0.0000 0.0000
Zn1 0.1013 0.5000 0.6008
Cd1 0.2274 0.5000 0.2264
Cd2 0.2411 0.0000 0.7414
Cd3 0.3866 0.0000 0.3861
```

The following is a calculated XRD peak list of CaTc4Ru. It was derived from a crystal structure in Alexandria, relaxed with GGA-PBE, using copper Kα.

Largest 6 diffraction maxima, by angle, 10° ≤ 2θ ≤ 80°:
20.89°, I 230; 34.44°, I 179; 40.63°, I 1000; 42.52°, I 515; 65.90°, I 306; 72.62°, I 271

Structure:
```
data_CaTc4Ru
_cell_length_a 7.3645
_cell_length_b 7.3645
_cell_length_c 7.3645
_cell_angle_alpha 90.00
_cell_angle_beta 90.00
_cell_angle_gamma 90.00
_symmetry_space_group_name_H-M 'F -4 3 m'
_symmetry_Int_Tables_number 216
_symmetry_space_group_name_Hall 'F -4 2 3'
loop_
_atom_site_label
_atom_site_fract_x
_atom_site_fract_y
_atom_site_fract_z
Ca1 0.0000 0.0000 0.0000
Tc1 0.1255 0.1255 0.3745
Ru1 0.2500 0.2500 0.7500
```

The following is a calculated XRD peak list of HoCo2Si2Ni. It was derived from a crystal structure in Alexandria, relaxed with GGA-PBE, using copper Kα.

Largest 6 diffraction maxima, by angle, 10° ≤ 2θ ≤ 80°:
20.97°, I 240; 29.83°, I 850; 34.69°, I 329; 41.19°, I 1000; 42.69°, I 608; 60.82°, I 606

Structure:
```
data_HoCo2Si2Ni
_cell_length_a 4.2361
_cell_length_b 4.2361
_cell_length_c 5.1214
_cell_angle_alpha 90.00
_cell_angle_beta 90.00
_cell_angle_gamma 90.00
_symmetry_space_group_name_H-M 'P 4/m m m'
_symmetry_Int_Tables_number 123
_symmetry_space_group_name_Hall '-P 4 2'
loop_
_atom_site_label
_atom_site_fract_x
_atom_site_fract_y
_atom_site_fract_z
Ho1 0.0000 0.0000 0.0000
Co1 0.5000 0.5000 0.2444
Si1 0.0000 0.5000 0.5000
Ni1 0.0000 0.0000 0.5000
```

The following is a calculated XRD peak list of Fe3PbCl12. It was derived from a crystal structure in Alexandria, relaxed with GGA-PBE, using copper Kα.

Largest 6 diffraction maxima, by angle, 10° ≤ 2θ ≤ 80°:
10.64°, I 1000; 13.96°, I 293; 15.65°, I 213; 17.91°, I 285; 32.56°, I 302; 36.31°, I 235

Structure:
```
data_Fe3PbCl12
_cell_length_a 11.0121
_cell_length_b 11.0121
_cell_length_c 33.9717
_cell_angle_alpha 90.00
_cell_angle_beta 90.00
_cell_angle_gamma 120.00
_symmetry_space_group_name_H-M 'R 3 c'
_symmetry_Int_Tables_number 161
_symmetry_space_group_name_Hall 'R 3 -2"c'
loop_
_atom_site_label
_atom_site_fract_x
_atom_site_fract_y
_atom_site_fract_z
Fe1 0.0076 0.3724 0.0000
Pb1 0.0000 0.0000 0.2114
Cl1 0.0578 0.5225 0.6762
Cl2 0.0916 0.5194 0.9512
Cl3 0.1083 0.5524 0.3204
Cl4 0.1419 0.3421 0.3886
```

The following is a calculated XRD peak list of Ho4TlHgN. It was derived from a crystal structure in Alexandria, relaxed with GGA-PBE, using copper Kα.

Largest 6 diffraction maxima, by angle, 10° ≤ 2θ ≤ 80°:
26.24°, I 252; 28.89°, I 604; 35.76°, I 1000; 37.45°, I 662; 53.02°, I 258; 66.48°, I 337

Structure:
```
data_Ho4TlHgN
_cell_length_a 6.7904
_cell_length_b 14.9157
_cell_length_c 6.7927
_cell_angle_alpha 90.00
_cell_angle_beta 90.00
_cell_angle_gamma 90.00
_symmetry_space_group_name_H-M 'C m c m'
_symmetry_Int_Tables_number 63
_symmetry_space_group_name_Hall '-C 2c 2'
loop_
_atom_site_label
_atom_site_fract_x
_atom_site_fract_y
_atom_site_fract_z
Ho1 0.0000 0.0803 0.2500
Ho2 0.0000 0.4132 0.2500
Ho3 0.2500 0.2500 0.0000
Tl1 0.0000 0.3835 0.7500
Hg1 0.0000 0.1185 0.7500
N1 0.0000 0.2507 0.2500
```

The following is a calculated XRD peak list of Ga. It was derived from a crystal structure in Alexandria, relaxed with GGA-PBE, using copper Kα.

Largest 6 diffraction maxima, by angle, 10° ≤ 2θ ≤ 80°:
33.34°, I 683; 35.60°, I 1000; 35.80°, I 774; 40.19°, I 378; 40.30°, I 331; 45.27°, I 730

Structure:
```
data_Ga
_cell_length_a 2.7853
_cell_length_b 2.7909
_cell_length_c 5.0992
_cell_angle_alpha 96.31
_cell_angle_beta 96.46
_cell_angle_gamma 103.18
_symmetry_space_group_name_H-M 'P -1'
_symmetry_Int_Tables_number 2
_symmetry_space_group_name_Hall '-P 1'
loop_
_atom_site_label
_atom_site_fract_x
_atom_site_fract_y
_atom_site_fract_z
Ga1 0.1404 0.3463 0.2501
```

The following is a calculated XRD peak list of Pr2Mg3Au2. It was derived from a crystal structure in Alexandria, relaxed with GGA-PBE, using copper Kα.

Largest 6 diffraction maxima, by angle, 10° ≤ 2θ ≤ 80°:
21.29°, I 972; 25.13°, I 832; 33.80°, I 1000; 35.37°, I 788; 35.83°, I 573; 38.97°, I 512

Structure:
```
data_Pr2Mg3Au2
_cell_length_a 10.5086
_cell_length_b 4.6222
_cell_length_c 7.6696
_cell_angle_alpha 90.00
_cell_angle_beta 112.44
_cell_angle_gamma 90.00
_symmetry_space_group_name_H-M 'C 1 2/m 1'
_symmetry_Int_Tables_number 12
_symmetry_space_group_name_Hall '-C 2y'
loop_
_atom_site_label
_atom_site_fract_x
_atom_site_fract_y
_atom_site_fract_z
Pr1 0.1385 0.0000 0.2837
Mg1 0.0000 0.5000 0.5000
Mg2 0.1297 0.5000 0.9358
Au1 0.1548 0.0000 0.7115
```

The following is a calculated XRD peak list of Tb3Nd4Sm3. It was derived from a crystal structure in Alexandria, relaxed with GGA-PBE, using copper Kα.

Largest 6 diffraction maxima, by angle, 10° ≤ 2θ ≤ 80°:
26.73°, I 153; 29.95°, I 884; 31.46°, I 1000; 38.16°, I 138; 47.25°, I 153; 56.95°, I 215

Structure:
```
data_Tb3Nd4Sm3
_cell_length_a 3.8475
_cell_length_b 13.3231
_cell_length_c 13.3669
_cell_angle_alpha 90.00
_cell_angle_beta 90.00
_cell_angle_gamma 90.00
_symmetry_space_group_name_H-M 'A m m 2'
_symmetry_Int_Tables_number 38
_symmetry_space_group_name_Hall 'A 2 -2'
loop_
_atom_site_label
_atom_site_fract_x
_atom_site_fract_y
_atom_site_fract_z
Tb1 0.0000 0.0000 0.0000
Tb2 0.5000 0.2483 0.0808
Nd1 0.5000 0.0000 0.1996
Nd2 0.5000 0.0000 0.4626
Nd3 0.5000 0.1308 0.8316
Sm1 0.0000 0.0000 0.6626
Sm2 0.0000 0.1686 0.3309
```